(1)
# VO2
Calculated powder XRD pattern, Cu Kα X-rays. Input: a crystal structure in Alexandria, relaxed with PBE+U.
Lines closer than 0.1° are merged.

Most intense lines, 10 to 80 degrees two-theta, by intensity:
d_spacing, 2θ/deg, intensity, hkl
6.073, 14.58, 100, 1 1 0
3.037, 29.41, 72, 2 2 0
2.737, 32.72, 71, 2 1 2
3.552, 25.07, 66, 1 0 2
2.024, 44.77, 56, 3 3 0
1.951, 46.56, 34, 0 0 4
1.476, 62.96, 27, 5 2 2
1.405, 66.57, 27, 3 3 4
1.572, 58.73, 23, 4 3 2
1.641, 56.03, 20, 2 2 4

Structure:
a = 8.589 Å, b = 8.589 Å, c = 7.802 Å
α = 90.00°, β = 90.00°, γ = 90.00°
Space group P4/ncc (No. 130, origin choice 2)
Symmetry-distinct sites (fractional):
V (0.049, 0.733, 0.124) [16 per cell]
O (0.088, 0.090, 0.376) [16 per cell]
O (0.100, 0.747, 0.375) [16 per cell]

---

(2)
# VO2
Calculated powder XRD pattern, Cu Kα X-rays. Input: a crystal structure in Alexandria, relaxed with PBE+U.
Lines closer than 0.1° are merged.

Most intense lines, 10 to 80 degrees two-theta, by intensity:
d_spacing, 2θ/deg, intensity, hkl
2.907, 30.76, 100, 1 2 1
3.501, 25.44, 93, 0 2 1
3.475, 25.63, 65, 1 1 1
1.660, 55.36, 37, 1 4 2
1.889, 48.17, 29, 1 3 2
2.509, 35.79, 26, 2 1 0
1.678, 54.70, 23, 0 2 3
1.985, 45.69, 20, 2 3 0
1.629, 56.49, 19, 3 1 1
1.864, 48.86, 18, 2 3 1

Structure:
a = 5.216 Å, b = 9.187 Å, c = 5.408 Å
α = 90.00°, β = 90.00°, γ = 90.00°
Space group Pbca (No. 61)
Symmetry-distinct sites (fractional):
V (0.143, 0.129, 0.097) [8 per cell]
O (0.032, 0.727, 0.121) [8 per cell]
O (0.191, 0.508, 0.364) [8 per cell]

---

(3)
# VO2
Calculated powder XRD pattern, Cu Kα X-rays. Input: a crystal structure in Alexandria, relaxed with PBE+U.
Lines closer than 0.1° are merged.

Most intense lines, 10 to 80 degrees two-theta, by intensity:
d_spacing, 2θ/deg, intensity, hkl
7.041, 12.57, 100, 1 1 0
4.979, 17.82, 87, 2 0 0
2.522, 35.60, 62, 2 1 1
3.149, 28.34, 43, 3 1 0
1.896, 47.99, 37, 1 4 1
1.583, 58.31, 36, 5 2 1
1.386, 67.57, 24, 4 5 1
2.250, 40.08, 19, 3 0 1
1.660, 55.36, 18, 6 0 0
2.489, 36.08, 17, 4 0 0

Structure:
a = 9.957 Å, b = 9.957 Å, c = 3.060 Å
α = 90.00°, β = 90.00°, γ = 90.00°
Space group I4/m (No. 87)
Symmetry-distinct sites (fractional):
V (0.157, 0.663, 0.000) [8 per cell]
O (0.032, 0.665, 0.500) [8 per cell]
O (0.159, 0.207, 0.000) [8 per cell]

---

(4)
# V2O5
Calculated powder XRD pattern, Cu Kα X-rays. Input: a crystal structure in Alexandria, relaxed with PBE+U.
Lines closer than 0.1° are merged.

Most intense lines, 10 to 80 degrees two-theta, by intensity:
d_spacing, 2θ/deg, intensity, hkl
7.828, 11.30, 100, 0 0 1
3.288, 27.12, 72, 0 1 1
3.178, 28.08, 32, 2 0 0
4.889, 18.15, 31, 1 0 1
2.430, 36.99, 26, 1 0 -3
2.035, 44.51, 22, 3 0 1
2.928, 30.53, 21, 2 0 1
2.911, 30.71, 21, 1 1 1
1.812, 50.37, 20, 0 2 0
1.669, 55.02, 16, 1 1 -4

Structure:
a = 6.358 Å, b = 3.623 Å, c = 7.829 Å
α = 90.00°, β = 91.11°, γ = 90.00°
Space group P2_1/m (No. 11)
Symmetry-distinct sites (fractional):
V (0.194, 0.250, 0.089) [2 per cell]
V (0.257, 0.750, 0.744) [2 per cell]
O (0.042, 0.250, 0.274) [2 per cell]
O (0.145, 0.750, 0.029) [2 per cell]
O (0.256, 0.250, 0.822) [2 per cell]
O (0.310, 0.750, 0.545) [2 per cell]
O (0.442, 0.250, 0.164) [2 per cell]

---

Please write out number 4 again, unchanged.
# V2O5
Calculated powder XRD pattern, Cu Kα X-rays. Input: a crystal structure in Alexandria, relaxed with PBE+U.
Lines closer than 0.1° are merged.

Most intense lines, 10 to 80 degrees two-theta, by intensity:
d_spacing, 2θ/deg, intensity, hkl
7.828, 11.30, 100, 0 0 1
3.288, 27.12, 72, 0 1 1
3.178, 28.08, 32, 2 0 0
4.889, 18.15, 31, 1 0 1
2.430, 36.99, 26, 1 0 -3
2.035, 44.51, 22, 3 0 1
2.928, 30.53, 21, 2 0 1
2.911, 30.71, 21, 1 1 1
1.812, 50.37, 20, 0 2 0
1.669, 55.02, 16, 1 1 -4

Structure:
a = 6.358 Å, b = 3.623 Å, c = 7.829 Å
α = 90.00°, β = 91.11°, γ = 90.00°
Space group P2_1/m (No. 11)
Symmetry-distinct sites (fractional):
V (0.194, 0.250, 0.089) [2 per cell]
V (0.257, 0.750, 0.744) [2 per cell]
O (0.042, 0.250, 0.274) [2 per cell]
O (0.145, 0.750, 0.029) [2 per cell]
O (0.256, 0.250, 0.822) [2 per cell]
O (0.310, 0.750, 0.545) [2 per cell]
O (0.442, 0.250, 0.164) [2 per cell]